1.
# LiNdTl2
Simulated powder X-ray diffraction pattern, Cu Kα, 1.54184 Å. Input: a crystal structure in the Materials Project, relaxed with PBE.
Neutral-atom scattering factors, no anomalous dispersion.

The 10 most intense peaks (5° ≤ 2θ ≤ 70°), low angle first:
| 2θ/deg | d [Å] | Rel. int. | (hkl) |
| --- | --- | --- | --- |
| 20.53 | 4.327 | 15 | 1 1 1 |
| 23.75 | 3.747 | 25 | 2 0 0 |
| 33.83 | 2.650 | 100 | 2 2 0 |
| 39.90 | 2.260 | 8 | 3 1 1 |
| 41.75 | 2.163 | 8 | 2 2 2 |
| 48.59 | 1.874 | 18 | 4 0 0 |
| 53.28 | 1.719 | 4 | 3 3 1 |
| 54.78 | 1.676 | 11 | 4 2 0 |
| 60.52 | 1.530 | 38 | 4 2 2 |
| 64.62 | 1.442 | 3 | 5 1 1 |

Crystal structure
a b c (Å): 7.494 7.494 7.494
angles (deg): 90.00 90.00 90.00
Fractional positions:
Li 0.000 0.000 0.000
Li 0.000 0.500 0.500
Li 0.500 0.000 0.500
Li 0.500 0.500 0.000
Nd 0.000 0.000 0.500
Nd 0.000 0.500 0.000
Nd 0.500 0.000 0.000
Nd 0.500 0.500 0.500
Tl 0.250 0.250 0.250
Tl 0.250 0.250 0.750
Tl 0.250 0.750 0.250
Tl 0.250 0.750 0.750
Tl 0.750 0.250 0.250
Tl 0.750 0.250 0.750
Tl 0.750 0.750 0.250
Tl 0.750 0.750 0.750


2.
# LiNdZn2
Simulated powder X-ray diffraction pattern, Cu Kα, 1.54184 Å. Input: a crystal structure in the Materials Project, relaxed with PBE.
Neutral-atom scattering factors, no anomalous dispersion.

The 6 most intense peaks (5° ≤ 2θ ≤ 70°), low angle first:
| 2θ/deg | d [Å] | Rel. int. | (hkl) |
| --- | --- | --- | --- |
| 22.24 | 3.998 | 55 | 1 1 1 |
| 36.71 | 2.448 | 100 | 2 2 0 |
| 43.34 | 2.088 | 28 | 3 1 1 |
| 52.89 | 1.731 | 17 | 4 0 0 |
| 58.06 | 1.589 | 12 | 3 3 1 |
| 66.10 | 1.414 | 34 | 4 2 2 |

Crystal structure
a b c (Å): 6.925 6.925 6.925
angles (deg): 90.00 90.00 90.00
Fractional positions:
Li 0.000 0.000 0.000
Li 0.000 0.500 0.500
Li 0.500 0.000 0.500
Li 0.500 0.500 0.000
Nd 0.000 0.000 0.500
Nd 0.000 0.500 0.000
Nd 0.500 0.000 0.000
Nd 0.500 0.500 0.500
Zn 0.250 0.250 0.250
Zn 0.250 0.250 0.750
Zn 0.250 0.750 0.250
Zn 0.250 0.750 0.750
Zn 0.750 0.250 0.250
Zn 0.750 0.250 0.750
Zn 0.750 0.750 0.250
Zn 0.750 0.750 0.750